Cs2MnCdO4: simulated PXRD pattern (Cu Kα, 1.54184 Å), based on a cell relaxed with PBE+U.

Largest 6 diffraction maxima, in order of rising 2θ, 2θ = 10–90°:
2θ/deg  I/Imax  h k l
20.77  44  1 1 3
26.50  62  1 1 5
28.31  100  0 2 6
28.44  47  0 4 0
33.39  45  1 3 5
33.96  61  2 2 0

Structural model:
```
data_Cs2MnCdO4
_chemical_formula_sum 'Cs16 Mn8 Cd8 O32'
_cell_length_a 5.8204
_cell_length_b 12.5523
_cell_length_c 21.8737
_cell_angle_alpha 90.00
_cell_angle_beta 90.00
_cell_angle_gamma 90.00
_symmetry_space_group_name_H-M 'F d d d'
_symmetry_Int_Tables_number 70
loop_
_symmetry_equiv_pos_as_xyz
'x,y,z'
'-x,-y,-z'
'-x+1/4,-y+1/4,z'
'x+1/4,y+1/4,-z'
'x,-y+1/4,-z+1/4'
'-x,y+1/4,z+1/4'
'-x+1/4,y,-z+1/4'
'x+1/4,-y,z+1/4'
'x,y+1/2,z+1/2'
'-x,-y+1/2,-z+1/2'
'-x+1/4,-y+3/4,z+1/2'
'x+1/4,y+3/4,-z+1/2'
'x,-y+3/4,-z+3/4'
'-x,y+3/4,z+3/4'
'-x+1/4,y+1/2,-z+3/4'
'x+1/4,-y+1/2,z+3/4'
'x+1/2,y,z+1/2'
'-x+1/2,-y,-z+1/2'
'-x+3/4,-y+1/4,z+1/2'
'x+3/4,y+1/4,-z+1/2'
'x+1/2,-y+1/4,-z+3/4'
'-x+1/2,y+1/4,z+3/4'
'-x+3/4,y,-z+3/4'
'x+3/4,-y,z+3/4'
'x+1/2,y+1/2,z'
'-x+1/2,-y+1/2,-z'
'-x+3/4,-y+3/4,z'
'x+3/4,y+3/4,-z'
'x+1/2,-y+3/4,-z+1/4'
'-x+1/2,y+3/4,z+1/4'
'-x+3/4,y+1/2,-z+1/4'
'x+3/4,-y+1/2,z+1/4'
loop_
_atom_site_label
_atom_site_type_symbol
_atom_site_fract_x
_atom_site_fract_y
_atom_site_fract_z
Cs1 Cs 0.1250 0.1250 0.3038
Mn1 Mn 0.1250 0.1250 0.6250
Cd1 Cd 0.1250 0.1250 0.1250
O1 O 0.0816 0.2915 0.8340
```